1.
The following is a computed PXRD pattern of CoO2. It was derived from a crystal structure in the Materials Project, relaxed with PBE+U, using Cu Kα.
Kinematic intensities with the Lorentz-polarization factor, no thermal factor.

Atomic structure:
```
CoO2
1.0
2.4029 -1.5354 0.0000
2.4029 1.5354 0.0000
-0.7367 0.0000 10.6357
Co O
1 2
Direct
0.0000 0.0000 0.0000
0.2949 0.2949 0.9073
0.7051 0.7051 0.0927
```

Main lines, in order of falling intensity (2θ from 10° to 90°):
| 2θ/deg | Rel. int. |
| --- | --- |
| 16.67 | 100 |
| 44.11 | 32 |
| 39.31 | 28 |
| 36.05 | 25 |
| 25.12 | 20 |
| 34.69 | 15 |
| 50.12 | 14 |
| 65.91 | 11 |
| 40.18 | 8 |
| 60.97 | 8 |
| 49.40 | 8 |
| 63.02 | 7 |

***

2.
The following is a computed PXRD pattern of CoO2. It was derived from a crystal structure in the Materials Project, relaxed with PBE+U, using Cu Kα.
Kinematic intensities with the Lorentz-polarization factor, no thermal factor.

Atomic structure:
```
CoO2
1.0
1.5461 -2.4005 0.0000
1.5461 2.4005 0.0000
0.0000 0.0000 16.7457
Co O
2 4
Direct
0.0000 0.0000 0.0000
0.5000 0.5000 0.5000
0.1897 0.8104 0.5585
0.3104 0.6896 0.0585
0.6896 0.3104 0.9415
0.8104 0.1897 0.4415
```

Main lines, in order of falling intensity (2θ from 10° to 90°):
| 2θ/deg | Rel. int. |
| --- | --- |
| 10.57 | 100 |
| 21.22 | 11 |
| 34.93 | 7 |
| 38.19 | 7 |
| 44.10 | 6 |
| 51.95 | 4 |
| 65.96 | 3 |
| 50.12 | 3 |
| 43.46 | 3 |
| 61.26 | 3 |
| 39.03 | 2 |
| 58.50 | 2 |